(1)
For SiO2, a DFT-relaxed cell (GGA-PBE, the Materials Project) gives the simulated X-ray diffraction stick pattern in this record (Cu Kα X-rays).
Neutral-atom scattering factors, no anomalous dispersion.

Peak list (10 most intense, 2θ from 10° to 80°, low angle first)
hkl  2theta  I (rel.)
1 1 1  12.69  100.0
0 2 0  13.91  13.9
1 1 2  16.71  20.9
2 0 0  17.20  26.1
1 1 3  21.85  6.4
2 2 1  23.07  9.0
1 1 4  27.56  7.5
3 1 2  29.73  5.1
2 2 4  33.75  4.5
3 3 3  38.74  5.0

Crystal structure
```
data_SiO2
_chemical_formula_sum 'Si32 O64'
_cell_length_a 10.312
_cell_length_b 12.730
_cell_length_c 14.163
_cell_angle_alpha 90.00
_cell_angle_beta 90.00
_cell_angle_gamma 90.00
_space_group_name_H-M_alt 'C c c e'
_space_group_IT_number 68
loop_
_space_group_symop_operation_xyz
'x,y,z'
'-x,-y,-z'
'-x+1/2,-y,z'
'x+1/2,y,-z'
'x+1/2,-y,-z+1/2'
'-x+1/2,y,z+1/2'
'-x,y,-z+1/2'
'x,-y,z+1/2'
'x+1/2,y+1/2,z'
'-x+1/2,-y+1/2,-z'
'-x,-y+1/2,z'
'x,y+1/2,-z'
'x,-y+1/2,-z+1/2'
'-x,y+1/2,z+1/2'
'-x+1/2,y+1/2,-z+1/2'
'x+1/2,-y+1/2,z+1/2'
loop_
_atom_site_label
_atom_site_fract_x
_atom_site_fract_y
_atom_site_fract_z
Si1 0.000 0.087 0.250
Si2 0.000 0.250 0.113
Si3 0.112 0.048 0.066
O1 0.000 0.000 0.000
O2 0.083 0.167 0.321
O3 0.091 0.019 0.179
O4 0.104 0.178 0.054
O5 0.250 0.000 0.033
```

***

(2)
For Zr4O, a DFT-relaxed cell (GGA-PBE, the Materials Project) gives the simulated X-ray diffraction stick pattern in this record (Cu Kα X-rays).
Neutral-atom scattering factors, no anomalous dispersion.

Peak list (10 most intense, 2θ from 10° to 80°, low angle first)
hkl  2theta  I (rel.)
1 1 0  31.61  19.8
0 0 12  34.33  23.3
2 -1 6  36.09  100.0
1 1 12  47.36  17.7
3 0 0  56.30  19.1
2 -1 18  62.63  19.0
3 0 12  67.62  18.6
2 2 6  68.72  14.3
0 0 24  72.35  2.9
4 -2 12  76.57  3.9

Crystal structure
```
data_Zr4O
_chemical_formula_sum 'Zr36 O9'
_cell_length_a 5.6607
_cell_length_b 5.6607
_cell_length_c 31.3472
_cell_angle_alpha 90.00
_cell_angle_beta 90.00
_cell_angle_gamma 120.00
_space_group_name_H-M_alt 'R -3'
_space_group_IT_number 148
_space_group_name_Hall '-R 3'
loop_
_atom_site_label
_atom_site_fract_x
_atom_site_fract_y
_atom_site_fract_z
Zr1 0.0009 0.3313 0.2925
Zr2 0.0017 0.6616 0.8748
O1 0.0000 0.0000 0.2502
O2 0.0000 0.0000 0.5000
```